Entry 1:
Diffraction record for NaYPuO6. The powder XRD pattern is simulated, not measured: it uses a GGA-PBE-relaxed structure and CuKα.
No peak broadening, texture or thermal motion is included.

Structure:
Lattice parameters (Å, degrees): 5.5655 5.5655 4.8545 90.00 90.00 120.00
Space group P312 (No. 149)
One atom of each set of equivalent atoms:
Na1 0.0000 0.0000 0.0000 x1
Y1 0.6667 0.3333 0.5000 x1
Pu1 0.3333 0.6667 0.0000 x1
O1 0.0304 0.3825 0.2300 x6

The 10 most intense peaks (2θ = 10–90°), low angle first:
18.28°, I = 15, (0 0 1)
18.41°, I = 56, (1 0 0)
26.05°, I = 100, (1 0 1)
32.17°, I = 32, (1 1 0)
37.26°, I = 22, (2 -1 1)
41.85°, I = 28, (2 0 1)
49.85°, I = 32, (2 -1 2)
53.74°, I = 28, (3 -1 1)
57.35°, I = 12, (3 0 0)
73.48°, I = 11, (3 1 1)

Entry 2:
Diffraction record for RbNa3O. The powder XRD pattern is simulated, not measured: it uses a GGA-PBE-relaxed structure and CuKα.
No peak broadening, texture or thermal motion is included.

Structure:
Lattice parameters (Å, degrees): 6.465 6.482 9.466 90.05 90.10 90.00
Space group P1 (No. 1)
One atom of each set of equivalent atoms:
Rb1 0.000 0.000 0.000 x1
Rb2 0.499 0.499 0.366 x1
Na1 0.248 0.750 0.682 x1
Na2 0.249 0.250 0.682 x1
Na3 0.498 0.500 0.926 x1
Na4 0.748 0.750 0.683 x1
Na5 0.749 0.250 0.684 x1
Na6 0.997 0.000 0.440 x1
O1 0.498 0.500 0.683 x1
O2 0.998 0.000 0.683 x1

The 10 most intense peaks (2θ = 10–90°), low angle first:
16.59°, I = 50, (1 0 -1)
19.39°, I = 100, (1 1 0)
23.28°, I = 34, (1 0 2)
27.10°, I = 22, (1 1 -2)
28.28°, I = 25, (0 0 3)
33.52°, I = 29, (2 0 -2)
34.52°, I = 25, (1 1 3)
39.37°, I = 29, (2 2 0)
44.25°, I = 21, (3 1 0)
49.18°, I = 20, (2 2 3)

Entry 3:
Diffraction record for Rb4Na2O. The powder XRD pattern is simulated, not measured: it uses a GGA-PBE-relaxed structure and CuKα.
No peak broadening, texture or thermal motion is included.

Structure:
Lattice parameters (Å, degrees): 5.786 5.786 21.438 90.00 90.00 90.00
Space group I4/mmm (No. 139)
One atom of each set of equivalent atoms:
Rb1 0.000 0.000 0.126 x4
Rb2 0.000 0.500 0.000 x4
Na1 0.000 0.000 0.315 x4
O1 0.000 0.000 0.000 x2

The 10 most intense peaks (2θ = 10–90°), low angle first:
15.86°, I = 49, (1 0 1)
23.27°, I = 50, (1 1 2)
24.92°, I = 16, (0 0 6)
25.86°, I = 23, (1 0 5)
27.43°, I = 100, (1 1 4)
30.91°, I = 57, (2 0 0)
40.10°, I = 17, (2 0 6)
44.28°, I = 20, (2 2 0)
46.17°, I = 21, (2 0 8)
52.87°, I = 32, (3 1 4)

Entry 4:
Diffraction record for Rb3Na5O2. The powder XRD pattern is simulated, not measured: it uses a GGA-PBE-relaxed structure and CuKα.
No peak broadening, texture or thermal motion is included.

Structure:
Lattice parameters (Å, degrees): 12.246 15.632 7.352 90.00 90.00 90.00
Space group Ibam (No. 72)
One atom of each set of equivalent atoms:
Rb1 0.000 0.000 0.250 x4
Rb2 0.188 0.310 0.000 x8
Na1 0.000 0.198 0.250 x8
Na2 0.000 0.500 0.250 x4
Na3 0.249 0.085 0.000 x8
O1 0.084 0.146 0.000 x8

The 10 most intense peaks (2θ = 10–90°), low angle first:
18.42°, I = 47, (2 2 0)
19.71°, I = 76, (2 1 1)
22.51°, I = 26, (3 1 0)
26.83°, I = 100, (1 4 1)
28.32°, I = 80, (2 0 2)
32.19°, I = 22, (4 1 1)
36.18°, I = 35, (3 5 0)
37.16°, I = 21, (3 3 2)
37.34°, I = 20, (1 6 1)
38.51°, I = 22, (1 5 2)

Entry 5:
Diffraction record for Rb2NaReO6. The powder XRD pattern is simulated, not measured: it uses a GGA-PBE-relaxed structure and CuKα.
No peak broadening, texture or thermal motion is included.

Structure:
Lattice parameters (Å, degrees): 6.3814 6.3814 5.9956 90.00 90.00 120.00
Space group P-3m1 (No. 164)
One atom of each set of equivalent atoms:
Rb1 0.3333 0.6667 0.3355 x2
Na1 0.0000 0.0000 0.0000 x1
Re1 0.0000 0.0000 0.5000 x1
O1 0.1385 0.2771 0.6848 x6

The 10 most intense peaks (2θ = 10–90°), low angle first:
14.78°, I = 100, (0 0 1)
16.04°, I = 77, (1 0 0)
21.87°, I = 84, (1 0 1)
27.96°, I = 99, (1 1 0)
31.77°, I = 63, (1 1 1)
34.02°, I = 60, (1 0 2)
35.78°, I = 40, (0 2 1)
44.60°, I = 48, (0 2 2)
53.47°, I = 41, (2 1 2)
64.53°, I = 20, (2 1 3)

Entry 6:
Diffraction record for Rb2NaReO4. The powder XRD pattern is simulated, not measured: it uses a GGA-PBE-relaxed structure and CuKα.
No peak broadening, texture or thermal motion is included.

Structure:
Lattice parameters (Å, degrees): 6.350 6.350 7.757 90.00 90.00 90.00
Space group I-4 (No. 82)
One atom of each set of equivalent atoms:
Rb1 0.000 0.000 0.000 x2
Rb2 0.000 0.500 0.250 x2
Na1 0.000 0.000 0.500 x2
Re1 0.000 0.500 0.750 x2
O1 0.143 0.738 0.682 x8

The 10 most intense peaks (2θ = 10–90°), low angle first:
18.05°, I = 41, (1 0 1)
19.77°, I = 25, (1 1 0)
22.93°, I = 14, (0 0 2)
28.11°, I = 47, (2 0 0)
30.46°, I = 100, (1 1 2)
40.17°, I = 25, (2 2 0)
51.24°, I = 49, (1 3 2)
55.53°, I = 18, (2 0 4)
63.37°, I = 14, (2 2 4)
67.04°, I = 14, (3 3 2)